# 1
The following is a theoretical powder diffraction line list of Rb3Pu2O4F3. It was derived from the GGA-PBE geometry in Alexandria, using CuKα.
Neutral-atom scattering factors, no anomalous dispersion.

Structure:
Cell lengths 12.262, 12.262, 12.262 Å; angles 159.81, 157.82, 30.17 degrees
Fractional coordinates of all 12 atoms:
Rb1 0.000 0.000 0.000
Rb2 0.195 0.195 0.000
Rb3 0.805 0.805 0.000
Pu1 0.398 0.398 0.000
Pu2 0.602 0.602 0.000
O1 0.314 0.314 0.000
O2 0.406 0.906 0.500
O3 0.594 0.094 0.500
O4 0.686 0.686 0.000
F1 0.092 0.592 0.500
F2 0.500 0.500 0.000
F3 0.908 0.408 0.500

Top 10 peaks for 2θ from 10° to 90°, most intense first:
two_theta, I/Imax
28.06, 100
26.68, 53
47.91, 24
48.01, 23
14.97, 21
50.49, 19
19.19, 17
38.16, 17
38.00, 16
21.00, 15

=====

# 2
The following is a theoretical powder diffraction line list of PuTl2O2F2. It was derived from the GGA-PBE geometry in Alexandria, using CuKα.
Neutral-atom scattering factors, no anomalous dispersion.

Structure:
Cell lengths 4.350, 4.350, 14.748 Å; angles 90.00, 90.00, 90.00 degrees
Fractional coordinates of all 14 atoms:
Pu1 0.000 0.000 0.000
Pu2 0.500 0.500 0.500
Tl1 0.000 0.000 0.355
Tl2 0.000 0.000 0.645
Tl3 0.500 0.500 0.145
Tl4 0.500 0.500 0.855
O1 0.000 0.500 0.000
O2 0.000 0.500 0.500
O3 0.500 0.000 0.000
O4 0.500 0.000 0.500
F1 0.000 0.000 0.156
F2 0.000 0.000 0.844
F3 0.500 0.500 0.344
F4 0.500 0.500 0.656

Top 10 peaks for 2θ from 10° to 90°, most intense first:
two_theta, I/Imax
27.38, 100
29.03, 56
50.45, 40
41.51, 26
47.34, 20
56.49, 14
36.81, 13
36.56, 13
12.00, 12
68.16, 10

=====

# 3
The following is a theoretical powder diffraction line list of Rb4O3F4. It was derived from the GGA-PBE geometry in Alexandria, using CuKα.
Neutral-atom scattering factors, no anomalous dispersion.

Structure:
Cell lengths 5.306, 5.306, 11.062 Å; angles 90.08, 90.08, 53.57 degrees
Fractional coordinates of all 11 atoms:
Rb1 0.000 0.000 0.000
Rb2 0.001 0.001 0.496
Rb3 0.317 0.317 0.247
Rb4 0.324 0.324 0.749
O1 0.617 0.617 0.746
O2 0.687 0.687 0.847
O3 0.689 0.689 0.646
F1 0.015 0.015 0.747
F2 0.320 0.320 0.000
F3 0.321 0.321 0.496
F4 0.994 0.994 0.248

Top 10 peaks for 2θ from 10° to 90°, most intense first:
two_theta, I/Imax
34.02, 100
26.37, 96
24.75, 59
47.67, 58
37.63, 53
20.81, 52
32.37, 46
38.80, 37
50.45, 25
45.55, 24

=====

# 4
The following is a theoretical powder diffraction line list of Rb4OF2. It was derived from the GGA-PBE geometry in Alexandria, using CuKα.
Neutral-atom scattering factors, no anomalous dispersion.

Structure:
Cell lengths 7.142, 12.231, 4.173 Å; angles 90.00, 90.00, 90.00 degrees
Fractional coordinates of all 14 atoms:
Rb1 0.139 0.208 0.000
Rb2 0.244 0.963 0.500
Rb3 0.256 0.463 0.500
Rb4 0.361 0.708 0.000
Rb5 0.639 0.292 0.000
Rb6 0.744 0.537 0.500
Rb7 0.756 0.037 0.500
Rb8 0.861 0.792 0.000
O1 0.000 0.000 0.000
O2 0.500 0.500 0.000
F1 0.078 0.683 0.500
F2 0.422 0.183 0.500
F3 0.578 0.817 0.500
F4 0.922 0.317 0.500

Top 10 peaks for 2θ from 10° to 90°, most intense first:
two_theta, I/Imax
25.84, 100
31.84, 59
33.84, 52
36.22, 49
28.76, 35
51.51, 34
53.48, 29
43.37, 26
54.79, 24
25.99, 23

=====

# 5
The following is a theoretical powder diffraction line list of Rb3OF6. It was derived from the GGA-PBE geometry in Alexandria, using CuKα.
Neutral-atom scattering factors, no anomalous dispersion.

Structure:
Cell lengths 6.664, 6.664, 6.664 Å; angles 125.03, 125.03, 81.49 degrees
Fractional coordinates of all 10 atoms:
Rb1 0.000 0.000 0.000
Rb2 0.250 0.750 0.500
Rb3 0.750 0.250 0.500
O1 0.500 0.500 0.000
F1 0.256 0.256 0.000
F2 0.299 0.299 0.598
F3 0.299 0.701 0.000
F4 0.701 0.299 0.000
F5 0.701 0.701 0.402
F6 0.744 0.744 0.000

Top 10 peaks for 2θ from 10° to 90°, most intense first:
two_theta, I/Imax
27.06, 100
29.03, 44
41.53, 34
35.57, 31
50.27, 29
34.14, 28
55.80, 27
46.55, 23
33.77, 14
79.33, 12

=====

# 6
The following is a theoretical powder diffraction line list of Rb6O2F3. It was derived from the GGA-PBE geometry in Alexandria, using CuKα.
Neutral-atom scattering factors, no anomalous dispersion.

Structure:
Cell lengths 19.337, 19.337, 19.337 Å; angles 12.43, 12.43, 12.43 degrees
Fractional coordinates of all 11 atoms:
Rb1 0.084 0.084 0.084
Rb2 0.198 0.198 0.198
Rb3 0.361 0.361 0.361
Rb4 0.639 0.639 0.639
Rb5 0.802 0.802 0.802
Rb6 0.916 0.916 0.916
O1 0.450 0.450 0.450
O2 0.550 0.550 0.550
F1 0.000 0.000 0.000
F2 0.277 0.277 0.277
F3 0.723 0.723 0.723

Top 10 peaks for 2θ from 10° to 90°, most intense first:
two_theta, I/Imax
29.98, 100
26.87, 75
43.20, 55
46.73, 33
52.22, 31
32.93, 30
27.90, 29
53.48, 18
74.70, 17
71.09, 15

=====

# 7
The following is a theoretical powder diffraction line list of RbO8F6. It was derived from the GGA-PBE geometry in Alexandria, using CuKα.
Neutral-atom scattering factors, no anomalous dispersion.

Structure:
Cell lengths 5.696, 5.717, 7.525 Å; angles 79.04, 83.18, 89.02 degrees
Fractional coordinates of all 15 atoms:
Rb1 0.000 0.000 0.000
O1 0.028 0.722 0.591
O2 0.240 0.742 0.565
O3 0.407 0.522 0.224
O4 0.463 0.315 0.850
O5 0.537 0.685 0.150
O6 0.593 0.478 0.776
O7 0.760 0.258 0.435
O8 0.972 0.278 0.409
F1 0.104 0.218 0.608
F2 0.140 0.496 0.073
F3 0.438 0.952 0.204
F4 0.562 0.048 0.796
F5 0.860 0.504 0.927
F6 0.896 0.782 0.392

Top 10 peaks for 2θ from 10° to 90°, most intense first:
two_theta, I/Imax
30.57, 100
36.34, 76
31.91, 61
12.06, 50
25.94, 41
15.67, 41
38.34, 38
17.99, 32
40.50, 30
31.64, 30

=====

# 8
The following is a theoretical powder diffraction line list of Rb5O2F2. It was derived from the GGA-PBE geometry in Alexandria, using CuKα.
Neutral-atom scattering factors, no anomalous dispersion.

Structure:
Cell lengths 9.134, 9.134, 5.770 Å; angles 90.00, 90.00, 143.82 degrees
Fractional coordinates of all 9 atoms:
Rb1 0.000 0.000 0.000
Rb2 0.169 0.831 0.500
Rb3 0.319 0.681 0.000
Rb4 0.681 0.319 0.000
Rb5 0.831 0.169 0.500
O1 0.143 0.857 0.000
O2 0.857 0.143 0.000
F1 0.327 0.673 0.500
F2 0.673 0.327 0.500

Top 10 peaks for 2θ from 10° to 90°, most intense first:
two_theta, I/Imax
26.89, 100
30.95, 66
44.78, 45
10.19, 41
31.54, 34
55.42, 21
44.33, 21
52.69, 18
53.39, 15
16.44, 14

=====

# 9
The following is a theoretical powder diffraction line list of Rb4OF. It was derived from the GGA-PBE geometry in Alexandria, using CuKα.
Neutral-atom scattering factors, no anomalous dispersion.

Structure:
Cell lengths 13.497, 13.497, 8.574 Å; angles 90.00, 90.00, 159.68 degrees
Fractional coordinates of all 12 atoms:
Rb1 0.037 0.963 0.500
Rb2 0.140 0.860 0.173
Rb3 0.239 0.761 0.476
Rb4 0.354 0.646 0.133
Rb5 0.646 0.354 0.633
Rb6 0.761 0.239 0.976
Rb7 0.860 0.140 0.673
Rb8 0.963 0.037 0.000
O1 0.135 0.865 0.475
O2 0.865 0.135 0.975
F1 0.245 0.755 0.145
F2 0.755 0.245 0.645

Top 10 peaks for 2θ from 10° to 90°, most intense first:
two_theta, I/Imax
27.22, 100
21.61, 58
36.84, 51
24.72, 45
12.29, 38
48.26, 34
20.72, 28
37.79, 23
33.73, 21
18.94, 21

=====

# 10
The following is a theoretical powder diffraction line list of Rb2ReOF5. It was derived from the GGA-PBE geometry in Alexandria, using CuKα.
Neutral-atom scattering factors, no anomalous dispersion.

Structure:
Cell lengths 6.189, 6.189, 6.189 Å; angles 117.02, 117.02, 95.24 degrees
Fractional coordinates of all 9 atoms:
Rb1 0.000 0.500 0.500
Rb2 0.500 0.000 0.500
Re1 0.235 0.235 0.000
O1 0.030 0.030 0.000
F1 0.043 0.043 0.562
F2 0.043 0.481 0.000
F3 0.472 0.472 0.000
F4 0.481 0.043 0.000
F5 0.481 0.481 0.438

Top 10 peaks for 2θ from 10° to 90°, most intense first:
two_theta, I/Imax
17.35, 100
28.97, 72
27.59, 40
39.42, 32
49.66, 31
32.78, 31
52.18, 27
60.04, 23
35.12, 18
43.38, 16

=====

# 11
The following is a theoretical powder diffraction line list of RbSbSO4F2. It was derived from the GGA-PBE geometry in Alexandria, using CuKα.
Neutral-atom scattering factors, no anomalous dispersion.

Structure:
Cell lengths 9.766, 11.492, 5.509 Å; angles 90.00, 90.00, 90.00 degrees
Fractional coordinates of all 36 atoms:
Rb1 0.018 0.160 0.000
Rb2 0.482 0.660 0.500
Rb3 0.518 0.340 0.000
Rb4 0.982 0.840 0.500
Sb1 0.173 0.589 0.018
Sb2 0.327 0.089 0.518
Sb3 0.673 0.911 0.018
Sb4 0.827 0.411 0.518
S1 0.192 0.372 0.461
S2 0.308 0.872 0.961
S3 0.692 0.128 0.461
S4 0.808 0.628 0.961
O1 0.073 0.336 0.610
O2 0.134 0.432 0.235
O3 0.213 0.947 0.092
O4 0.235 0.766 0.861
O5 0.265 0.266 0.361
O6 0.287 0.447 0.592
O7 0.366 0.932 0.735
O8 0.427 0.836 0.110
O9 0.573 0.164 0.610
O10 0.634 0.068 0.235
O11 0.713 0.553 0.092
O12 0.735 0.734 0.861
O13 0.765 0.234 0.361
O14 0.787 0.053 0.592
O15 0.866 0.568 0.735
O16 0.927 0.664 0.110
F1 0.126 0.059 0.554
F2 0.186 0.671 0.331
F3 0.314 0.171 0.831
F4 0.374 0.559 0.054
F5 0.626 0.441 0.554
F6 0.686 0.829 0.331
F7 0.814 0.329 0.831
F8 0.874 0.941 0.054

Top 10 peaks for 2θ from 10° to 90°, most intense first:
two_theta, I/Imax
24.16, 100
25.58, 78
28.50, 47
28.38, 41
32.50, 38
17.89, 35
20.05, 33
43.73, 30
33.90, 21
36.20, 21